Cs2UAg2Se4: calculated powder diffraction line list (λ = 1.5418 Å (Cu Kα)), based on a DFT-relaxed cell (GGA-PBE, Alexandria).

Top 12 peaks for 10 to 80 degrees two-theta, low angle first:
- 2θ 10.93, intensity 79
- 2θ 21.35, intensity 23
- 2θ 27.19, intensity 43
- 2θ 29.36, intensity 100
- 2θ 31.37, intensity 49
- 2θ 31.55, intensity 57
- 2θ 36.04, intensity 29
- 2θ 38.57, intensity 23
- 2θ 38.84, intensity 25
- 2θ 41.63, intensity 33
- 2θ 46.29, intensity 26
- 2θ 47.96, intensity 40

Structure:
```
9
Lattice="7.882 -2.169 0.000 7.882 2.169 0.000 -2.706 0.000 8.097" Properties=species:S:1:pos:R:3 pbc="T T T"
Cs 1.956 0.000 0.577
Cs 11.102 0.000 7.521
U -1.353 0.000 4.049
Ag 3.637 0.000 4.193
Ag 9.421 0.000 3.904
Se 1.125 0.000 5.483
Se 5.750 0.000 5.827
Se 7.307 0.000 2.271
Se 11.932 0.000 2.615
```


CsZrAgSe3: calculated powder diffraction line list (λ = 1.5418 Å (Cu Kα)), based on a DFT-relaxed cell (GGA-PBE, Alexandria).

Top 12 peaks for 10 to 80 degrees two-theta, low angle first:
- 2θ 23.89, intensity 26
- 2θ 24.36, intensity 24
- 2θ 25.36, intensity 32
- 2θ 25.57, intensity 74
- 2θ 27.10, intensity 30
- 2θ 27.52, intensity 29
- 2θ 34.38, intensity 100
- 2θ 43.06, intensity 18
- 2θ 43.21, intensity 30
- 2θ 45.78, intensity 29
- 2θ 46.05, intensity 28
- 2θ 48.91, intensity 18

Structure:
```
12
Lattice="3.724 -7.023 0.000 3.724 7.023 0.000 0.000 0.000 7.308" Properties=species:S:1:pos:R:3 pbc="T T T"
Cs 3.724 3.815 5.481
Cs 3.724 -3.815 1.827
Zr 3.724 0.770 1.827
Zr 3.724 -0.770 5.481
Ag 3.724 5.886 1.827
Ag 3.724 -5.886 5.481
Se 1.900 0.000 0.000
Se 1.900 0.000 3.654
Se 3.724 3.247 1.827
Se 3.724 -3.247 5.481
Se 5.548 0.000 0.000
Se 5.548 0.000 3.654
```


CsAgSnTe6: calculated powder diffraction line list (λ = 1.5418 Å (Cu Kα)), based on a DFT-relaxed cell (GGA-PBE, Alexandria).

Top 12 peaks for 10 to 80 degrees two-theta, low angle first:
- 2θ 10.33, intensity 14
- 2θ 21.24, intensity 24
- 2θ 22.16, intensity 33
- 2θ 23.29, intensity 13
- 2θ 25.20, intensity 22
- 2θ 25.66, intensity 52
- 2θ 33.30, intensity 27
- 2θ 36.28, intensity 100
- 2θ 39.71, intensity 25
- 2θ 47.16, intensity 15
- 2θ 52.76, intensity 14
- 2θ 69.84, intensity 15

Structure:
```
18
Lattice="-4.540 5.382 7.068 4.540 -5.382 7.068 4.540 5.382 -7.068" Properties=species:S:1:pos:R:3 pbc="T T T"
Cs 0.000 2.691 2.158
Cs 4.540 2.691 4.910
Ag 2.270 2.691 -3.534
Ag 2.270 -2.691 3.534
Sn 4.540 0.000 0.000
Sn 0.000 0.000 7.068
Te 2.159 -0.433 1.793
Te 6.921 -0.433 1.793
Te 4.540 -2.691 5.458
Te 2.159 4.949 -1.793
Te 2.381 -0.433 5.276
Te 4.540 2.691 1.225
Te 0.000 2.691 5.844
Te 2.159 5.815 1.793
Te 2.381 0.433 8.861
Te 0.000 8.073 1.611
Te -2.381 5.815 5.276
Te 2.381 5.815 5.276
```


CsAgSnTe2: calculated powder diffraction line list (λ = 1.5418 Å (Cu Kα)), based on a DFT-relaxed cell (GGA-PBE, Alexandria).

Top 12 peaks for 10 to 80 degrees two-theta, low angle first:
- 2θ 10.77, intensity 21
- 2θ 23.90, intensity 34
- 2θ 24.03, intensity 100
- 2θ 28.34, intensity 38
- 2θ 29.41, intensity 30
- 2θ 32.55, intensity 37
- 2θ 34.18, intensity 24
- 2θ 35.09, intensity 25
- 2θ 35.71, intensity 25
- 2θ 42.11, intensity 25
- 2θ 42.34, intensity 18
- 2θ 57.50, intensity 19

Structure:
```
10
Lattice="3.724 -8.213 0.000 3.724 8.213 0.000 0.000 0.000 6.819" Properties=species:S:1:pos:R:3 pbc="T T T"
Cs 3.724 4.106 5.203
Cs 3.724 -4.106 1.617
Ag 0.000 0.000 0.000
Ag 3.724 0.000 0.000
Sn 1.862 0.000 3.410
Sn 5.585 0.000 3.410
Te 3.724 6.245 1.790
Te 3.724 1.967 1.790
Te 3.724 -1.967 5.029
Te 3.724 -6.245 5.029
```


Cs2AgSnTe4: calculated powder diffraction line list (λ = 1.5418 Å (Cu Kα)), based on a DFT-relaxed cell (GGA-PBE, Alexandria).

Top 12 peaks for 10 to 80 degrees two-theta, low angle first:
- 2θ 13.07, intensity 23
- 2θ 14.08, intensity 22
- 2θ 21.19, intensity 22
- 2θ 23.45, intensity 100
- 2θ 23.94, intensity 29
- 2θ 27.46, intensity 65
- 2θ 33.37, intensity 51
- 2θ 34.75, intensity 23
- 2θ 39.94, intensity 25
- 2θ 42.51, intensity 37
- 2θ 44.36, intensity 24
- 2θ 75.12, intensity 22

Structure:
```
16
Lattice="0.000 8.036 12.580 3.496 0.000 12.580 3.496 8.036 0.000" Properties=species:S:1:pos:R:3 pbc="T T T"
Cs 2.622 6.027 1.438
Cs 4.370 10.045 7.728
Cs 2.622 6.027 17.431
Cs 4.370 10.045 23.721
Ag 0.874 2.009 3.145
Ag 6.119 14.063 22.015
Sn 2.622 6.027 9.435
Sn 4.370 10.045 15.725
Te 2.692 3.663 4.626
Te 4.301 7.681 10.916
Te 2.553 8.391 4.626
Te 2.553 3.663 14.244
Te 4.440 12.409 10.916
Te 4.440 7.681 20.534
Te 2.692 8.391 14.244
Te 4.301 12.409 20.534
```


CsSrAgTe2: calculated powder diffraction line list (λ = 1.5418 Å (Cu Kα)), based on a DFT-relaxed cell (GGA-PBE, Alexandria).

Top 12 peaks for 10 to 80 degrees two-theta, low angle first:
- 2θ 21.15, intensity 49
- 2θ 23.41, intensity 100
- 2θ 27.52, intensity 20
- 2θ 30.27, intensity 23
- 2θ 31.25, intensity 30
- 2θ 32.89, intensity 25
- 2θ 35.26, intensity 16
- 2θ 35.70, intensity 18
- 2θ 38.46, intensity 27
- 2θ 41.51, intensity 20
- 2θ 43.06, intensity 15
- 2θ 61.39, intensity 22

Structure:
```
10
Lattice="4.202 -8.701 0.000 4.202 8.701 0.000 0.000 0.000 6.279" Properties=species:S:1:pos:R:3 pbc="T T T"
Cs 4.202 4.350 4.850
Cs 4.202 -4.350 1.428
Sr 2.101 0.000 3.139
Sr 6.302 0.000 3.139
Ag 0.000 0.000 0.000
Ag 4.202 0.000 0.000
Te 4.202 6.656 1.692
Te 4.202 2.044 1.692
Te 4.202 -2.044 4.586
Te 4.202 -6.656 4.586
```


CsTbAgTe2: calculated powder diffraction line list (λ = 1.5418 Å (Cu Kα)), based on a DFT-relaxed cell (GGA-PBE, Alexandria).

Top 12 peaks for 10 to 80 degrees two-theta, low angle first:
- 2θ 10.04, intensity 54
- 2θ 21.12, intensity 30
- 2θ 27.52, intensity 42
- 2θ 28.54, intensity 65
- 2θ 29.24, intensity 100
- 2θ 34.24, intensity 64
- 2θ 37.57, intensity 32
- 2θ 40.61, intensity 30
- 2θ 40.99, intensity 28
- 2θ 41.41, intensity 59
- 2θ 47.85, intensity 25
- 2θ 56.51, intensity 20

Structure:
```
10
Lattice="4.788 0.000 0.000 0.000 8.807 0.000 0.000 0.000 8.886" Properties=species:S:1:pos:R:3 pbc="T T T"
Cs 0.000 0.000 2.221
Cs 0.000 0.000 6.664
Tb 2.394 4.404 2.221
Tb 2.394 4.404 6.664
Ag 0.000 4.404 0.000
Ag 0.000 4.404 4.443
Te 2.165 2.335 0.000
Te 2.165 6.473 4.443
Te 2.624 2.335 4.443
Te 2.624 6.473 0.000
```


CsTcAg3: calculated powder diffraction line list (λ = 1.5418 Å (Cu Kα)), based on a DFT-relaxed cell (GGA-PBE, Alexandria).

Top 12 peaks for 10 to 80 degrees two-theta, low angle first:
- 2θ 16.34, intensity 13
- 2θ 23.19, intensity 22
- 2θ 28.50, intensity 82
- 2θ 33.02, intensity 100
- 2θ 37.05, intensity 6
- 2θ 40.74, intensity 10
- 2θ 47.40, intensity 70
- 2θ 56.23, intensity 34
- 2θ 58.98, intensity 24
- 2θ 69.28, intensity 11
- 2θ 76.54, intensity 14
- 2θ 78.91, intensity 30

Structure:
```
5
Lattice="5.425 0.000 0.000 0.000 5.425 0.000 0.000 0.000 5.425" Properties=species:S:1:pos:R:3 pbc="T T T"
Cs 0.000 0.000 0.000
Tc 2.713 2.713 2.713
Ag 0.000 2.713 2.713
Ag 2.713 0.000 2.713
Ag 2.713 2.713 0.000
```


What did the eighth record say?
CsTcAg3: calculated powder diffraction line list (λ = 1.5418 Å (Cu Kα)), based on a DFT-relaxed cell (GGA-PBE, Alexandria).

Top 12 peaks for 10 to 80 degrees two-theta, low angle first:
- 2θ 16.34, intensity 13
- 2θ 23.19, intensity 22
- 2θ 28.50, intensity 82
- 2θ 33.02, intensity 100
- 2θ 37.05, intensity 6
- 2θ 40.74, intensity 10
- 2θ 47.40, intensity 70
- 2θ 56.23, intensity 34
- 2θ 58.98, intensity 24
- 2θ 69.28, intensity 11
- 2θ 76.54, intensity 14
- 2θ 78.91, intensity 30

Structure:
```
5
Lattice="5.425 0.000 0.000 0.000 5.425 0.000 0.000 0.000 5.425" Properties=species:S:1:pos:R:3 pbc="T T T"
Cs 0.000 0.000 0.000
Tc 2.713 2.713 2.713
Ag 0.000 2.713 2.713
Ag 2.713 0.000 2.713
Ag 2.713 2.713 0.000
```